Entry 1:
CsRbGaH6: simulated PXRD pattern (Cu Kα), based on a PBE-relaxed structure.
No peak broadening, texture or thermal motion is included.

Principal peaks in the range 2θ from 5° to 70°, sorted by position:
d/Å  2θ (°)  I (rel.)
3.651  24.38  100
3.145  28.38  63
2.460  36.52  10
2.383  37.76  31
1.938  46.89  32
1.899  47.90  31
1.816  50.25  13
1.572  58.75  13
1.461  63.70  13
1.444  64.53  13

Crystal structure
```
data_CsRbGaH6
_chemical_formula_sum 'Cs1 Rb1 Ga1 H6'
_cell_length_a 6.291
_cell_length_b 6.291
_cell_length_c 4.920
_cell_angle_alpha 90.01
_cell_angle_beta 90.01
_cell_angle_gamma 120.05
_symmetry_space_group_name_H-M 'P 1'
_symmetry_Int_Tables_number 1
loop_
_symmetry_equiv_pos_as_xyz
'x,y,z'
loop_
_atom_site_label
_atom_site_type_symbol
_atom_site_fract_x
_atom_site_fract_y
_atom_site_fract_z
_atom_site_occupancy
Cs1 Cs 0.000 0.000 0.000 1
Rb1 Rb 0.333 0.667 0.500 1
Ga1 Ga 0.666 0.334 0.500 1
H1 H 0.446 0.106 0.707 1
H2 H 0.448 0.341 0.292 1
H3 H 0.659 0.552 0.708 1
H4 H 0.661 0.107 0.294 1
H5 H 0.893 0.339 0.706 1
H6 H 0.894 0.554 0.293 1
```



Entry 2:
CsGaSnH: simulated PXRD pattern (Cu Kα), based on a PBE-relaxed structure.
No peak broadening, texture or thermal motion is included.

Principal peaks in the range 2θ from 5° to 70°, sorted by position:
d/Å  2θ (°)  I (rel.)
3.696  24.08  20
3.616  24.62  32
2.995  29.83  100
2.841  31.48  32
2.583  34.73  25
2.234  40.37  17
1.911  47.57  20
1.818  50.19  34
1.690  54.29  14
1.669  55.03  18

Crystal structure
```
data_CsGaSnH
_chemical_formula_sum 'Cs1 Ga1 Sn1 H1'
_cell_length_a 7.770
_cell_length_b 7.680
_cell_length_c 3.840
_cell_angle_alpha 76.92
_cell_angle_beta 74.30
_cell_angle_gamma 28.78
_symmetry_space_group_name_H-M 'P 1'
_symmetry_Int_Tables_number 1
loop_
_symmetry_equiv_pos_as_xyz
'x,y,z'
loop_
_atom_site_label
_atom_site_type_symbol
_atom_site_fract_x
_atom_site_fract_y
_atom_site_fract_z
_atom_site_occupancy
Cs1 Cs 0.000 0.000 0.000 1
Ga1 Ga 0.293 0.293 0.707 1
Sn1 Sn 0.711 0.711 0.289 1
H1 H 0.410 0.410 0.590 1
```



Entry 3:
CsHfGa: simulated PXRD pattern (Cu Kα), based on a PBE-relaxed structure.
No peak broadening, texture or thermal motion is included.

Principal peaks in the range 2θ from 5° to 70°, sorted by position:
d/Å  2θ (°)  I (rel.)
13.016  6.79  100
4.339  20.47  10
3.861  23.03  5
2.986  29.92  8
2.949  30.30  11
2.904  30.79  10
2.442  36.81  16
2.115  42.76  6
2.071  43.70  7
1.887  48.22  5

Crystal structure
```
data_CsHfGa
_chemical_formula_sum 'Cs2 Hf2 Ga2'
_cell_length_a 4.230
_cell_length_b 4.976
_cell_length_c 13.073
_cell_angle_alpha 94.31
_cell_angle_beta 90.98
_cell_angle_gamma 115.13
_symmetry_space_group_name_H-M 'P 1'
_symmetry_Int_Tables_number 1
loop_
_symmetry_equiv_pos_as_xyz
'x,y,z'
loop_
_atom_site_label
_atom_site_type_symbol
_atom_site_fract_x
_atom_site_fract_y
_atom_site_fract_z
_atom_site_occupancy
Cs1 Cs 0.149 0.330 0.198 1
Cs2 Cs 0.851 0.670 0.802 1
Hf1 Hf 0.154 0.304 0.547 1
Hf2 Hf 0.846 0.696 0.453 1
Ga1 Ga 0.475 0.942 0.599 1
Ga2 Ga 0.525 0.058 0.401 1
```



Entry 4:
Cs2GaHg7: simulated PXRD pattern (Cu Kα), based on a PBE-relaxed structure.
No peak broadening, texture or thermal motion is included.

Principal peaks in the range 2θ from 5° to 70°, sorted by position:
d/Å  2θ (°)  I (rel.)
5.710  15.52  29
3.296  27.05  90
2.855  31.33  100
2.553  35.15  17
2.019  44.90  75
1.903  47.79  9
1.721  53.21  42
1.648  55.77  26
1.427  65.38  12
1.385  67.66  5

Crystal structure
```
data_Cs2GaHg7
_chemical_formula_sum 'Cs2 Ga1 Hg7'
_cell_length_a 8.074
_cell_length_b 8.074
_cell_length_c 8.074
_cell_angle_alpha 60.00
_cell_angle_beta 60.00
_cell_angle_gamma 60.00
_symmetry_space_group_name_H-M 'P 1'
_symmetry_Int_Tables_number 1
loop_
_symmetry_equiv_pos_as_xyz
'x,y,z'
loop_
_atom_site_label
_atom_site_type_symbol
_atom_site_fract_x
_atom_site_fract_y
_atom_site_fract_z
_atom_site_occupancy
Cs1 Cs 0.250 0.250 0.250 1
Cs2 Cs 0.750 0.750 0.750 1
Ga1 Ga 0.000 0.000 0.000 1
Hg1 Hg 0.244 0.244 0.756 1
Hg2 Hg 0.244 0.756 0.244 1
Hg3 Hg 0.244 0.756 0.756 1
Hg4 Hg 0.500 0.500 0.500 1
Hg5 Hg 0.756 0.244 0.244 1
Hg6 Hg 0.756 0.244 0.756 1
Hg7 Hg 0.756 0.756 0.244 1
```



Entry 5:
Cs2GaHgI3: simulated PXRD pattern (Cu Kα), based on a PBE-relaxed structure.
No peak broadening, texture or thermal motion is included.

Principal peaks in the range 2θ from 5° to 70°, sorted by position:
d/Å  2θ (°)  I (rel.)
10.135  8.72  39
3.774  23.57  75
3.380  26.37  62
3.172  28.13  100
3.089  28.91  49
2.701  33.16  34
2.280  39.53  37
2.110  42.86  29
2.033  44.56  30
1.742  52.53  33

Crystal structure
```
data_Cs2GaHgI3
_chemical_formula_sum 'Cs2 Ga1 Hg1 I3'
_cell_length_a 10.934
_cell_length_b 10.934
_cell_length_c 10.934
_cell_angle_alpha 151.40
_cell_angle_beta 147.18
_cell_angle_gamma 44.08
_symmetry_space_group_name_H-M 'P 1'
_symmetry_Int_Tables_number 1
loop_
_symmetry_equiv_pos_as_xyz
'x,y,z'
loop_
_atom_site_label
_atom_site_type_symbol
_atom_site_fract_x
_atom_site_fract_y
_atom_site_fract_z
_atom_site_occupancy
Cs1 Cs 0.149 0.149 0.000 1
Cs2 Cs 0.851 0.851 0.000 1
Ga1 Ga 0.500 0.500 0.000 1
Hg1 Hg 0.500 0.000 0.500 1
I1 I 0.000 0.500 0.500 1
I2 I 0.340 0.340 0.000 1
I3 I 0.660 0.660 0.000 1
```



Entry 6:
Cs4GaHg2Sb2: simulated PXRD pattern (Cu Kα), based on a PBE-relaxed structure.
No peak broadening, texture or thermal motion is included.

Principal peaks in the range 2θ from 5° to 70°, sorted by position:
d/Å  2θ (°)  I (rel.)
3.843  23.15  11
3.703  24.03  23
3.584  24.84  100
3.260  27.35  53
3.185  28.01  26
2.682  33.41  13
2.428  37.03  11
2.409  37.33  20
1.977  45.91  11
1.921  47.31  12

Crystal structure
```
data_Cs4GaHg2Sb2
_chemical_formula_sum 'Cs4 Ga1 Hg2 Sb2'
_cell_length_a 8.952
_cell_length_b 8.952
_cell_length_c 6.491
_cell_angle_alpha 99.29
_cell_angle_beta 99.29
_cell_angle_gamma 65.12
_symmetry_space_group_name_H-M 'P 1'
_symmetry_Int_Tables_number 1
loop_
_symmetry_equiv_pos_as_xyz
'x,y,z'
loop_
_atom_site_label
_atom_site_type_symbol
_atom_site_fract_x
_atom_site_fract_y
_atom_site_fract_z
_atom_site_occupancy
Cs1 Cs 0.104 0.615 0.789 1
Cs2 Cs 0.385 0.896 0.211 1
Cs3 Cs 0.615 0.104 0.789 1
Cs4 Cs 0.896 0.385 0.211 1
Ga1 Ga 0.000 0.000 0.500 1
Hg1 Hg 0.422 0.422 0.297 1
Hg2 Hg 0.578 0.578 0.703 1
Sb1 Sb 0.153 0.153 0.725 1
Sb2 Sb 0.847 0.847 0.275 1
```



Entry 7:
Cs2Ga2HgSb2: simulated PXRD pattern (Cu Kα), based on a PBE-relaxed structure.
No peak broadening, texture or thermal motion is included.

Principal peaks in the range 2θ from 5° to 70°, sorted by position:
d/Å  2θ (°)  I (rel.)
7.431  11.91  22
3.495  25.48  100
3.308  26.95  19
3.271  27.26  36
3.096  28.84  22
2.467  36.42  23
2.067  43.80  15
2.015  44.98  13
1.929  47.11  18
1.749  52.32  17

Crystal structure
```
data_Cs2Ga2HgSb2
_chemical_formula_sum 'Cs2 Ga2 Hg1 Sb2'
_cell_length_a 7.739
_cell_length_b 7.739
_cell_length_c 9.578
_cell_angle_alpha 126.73
_cell_angle_beta 126.73
_cell_angle_gamma 37.18
_symmetry_space_group_name_H-M 'P 1'
_symmetry_Int_Tables_number 1
loop_
_symmetry_equiv_pos_as_xyz
'x,y,z'
loop_
_atom_site_label
_atom_site_type_symbol
_atom_site_fract_x
_atom_site_fract_y
_atom_site_fract_z
_atom_site_occupancy
Cs1 Cs 0.055 0.055 0.347 1
Cs2 Cs 0.945 0.945 0.653 1
Ga1 Ga 0.297 0.297 0.951 1
Ga2 Ga 0.703 0.703 0.049 1
Hg1 Hg 0.500 0.500 0.000 1
Sb1 Sb 0.289 0.289 0.230 1
Sb2 Sb 0.711 0.711 0.770 1
```



Entry 8:
CsGa5Hg4Se12: simulated PXRD pattern (Cu Kα), based on a PBE-relaxed structure.
No peak broadening, texture or thermal motion is included.

Principal peaks in the range 2θ from 5° to 70°, sorted by position:
d/Å  2θ (°)  I (rel.)
7.888  11.22  21
3.366  26.48  54
3.343  26.66  52
3.325  26.81  100
2.056  44.05  50
2.048  44.23  24
2.041  44.38  47
2.029  44.65  24
1.749  52.32  17
1.745  52.45  21

Crystal structure
```
data_CsGa5Hg4Se12
_chemical_formula_sum 'Cs1 Ga5 Hg4 Se12'
_cell_length_a 9.129
_cell_length_b 9.149
_cell_length_c 9.193
_cell_angle_alpha 107.11
_cell_angle_beta 108.12
_cell_angle_gamma 107.52
_symmetry_space_group_name_H-M 'P 1'
_symmetry_Int_Tables_number 1
loop_
_symmetry_equiv_pos_as_xyz
'x,y,z'
loop_
_atom_site_label
_atom_site_type_symbol
_atom_site_fract_x
_atom_site_fract_y
_atom_site_fract_z
_atom_site_occupancy
Cs1 Cs 0.000 0.000 0.000 1
Ga1 Ga 0.028 0.193 0.560 1
Ga2 Ga 0.339 0.941 0.488 1
Ga3 Ga 0.493 0.341 0.949 1
Ga4 Ga 0.569 0.036 0.196 1
Ga5 Ga 0.950 0.499 0.353 1
Hg1 Hg 0.202 0.572 0.026 1
Hg2 Hg 0.414 0.648 0.727 1
Hg3 Hg 0.641 0.714 0.403 1
Hg4 Hg 0.719 0.398 0.641 1
Se1 Se 0.076 0.705 0.252 1
Se2 Se 0.151 0.379 0.443 1
Se3 Se 0.242 0.089 0.693 1
Se4 Se 0.315 0.821 0.942 1
Se5 Se 0.385 0.423 0.154 1
Se6 Se 0.435 0.142 0.370 1
Se7 Se 0.568 0.888 0.642 1
Se8 Se 0.650 0.561 0.890 1
Se9 Se 0.707 0.245 0.094 1
Se10 Se 0.793 0.946 0.298 1
Se11 Se 0.892 0.646 0.576 1
Se12 Se 0.936 0.278 0.776 1
```



Entry 9:
CsGaHg2Se4: simulated PXRD pattern (Cu Kα), based on a PBE-relaxed structure.
No peak broadening, texture or thermal motion is included.

Principal peaks in the range 2θ from 5° to 70°, sorted by position:
d/Å  2θ (°)  I (rel.)
6.386  13.87  44
4.302  20.65  32
3.547  25.11  100
3.391  26.28  48
2.980  29.98  57
2.656  33.74  57
2.390  37.64  25
2.309  39.01  28
2.175  41.52  23
1.801  50.70  32

Crystal structure
```
data_CsGaHg2Se4
_chemical_formula_sum 'Cs1 Ga1 Hg2 Se4'
_cell_length_a 7.253
_cell_length_b 7.253
_cell_length_c 7.253
_cell_angle_alpha 124.51
_cell_angle_beta 107.24
_cell_angle_gamma 97.88
_symmetry_space_group_name_H-M 'P 1'
_symmetry_Int_Tables_number 1
loop_
_symmetry_equiv_pos_as_xyz
'x,y,z'
loop_
_atom_site_label
_atom_site_type_symbol
_atom_site_fract_x
_atom_site_fract_y
_atom_site_fract_z
_atom_site_occupancy
Cs1 Cs 0.000 0.000 0.000 1
Ga1 Ga 0.500 0.500 0.000 1
Hg1 Hg 0.330 0.830 0.500 1
Hg2 Hg 0.670 0.170 0.500 1
Se1 Se 0.178 0.149 0.629 1
Se2 Se 0.480 0.851 0.029 1
Se3 Se 0.520 0.549 0.371 1
Se4 Se 0.822 0.451 0.971 1
```



Entry 10:
Cs2HoGaI6: simulated PXRD pattern (Cu Kα), based on a PBE-relaxed structure.
No peak broadening, texture or thermal motion is included.

Principal peaks in the range 2θ from 5° to 70°, sorted by position:
d/Å  2θ (°)  I (rel.)
6.232  14.21  18
4.407  20.15  19
3.598  24.74  75
3.116  28.65  100
2.203  40.96  75
1.879  48.44  34
1.799  50.74  26
1.558  59.31  12
1.430  65.26  14
1.394  67.17  33

Crystal structure
```
data_Cs2HoGaI6
_chemical_formula_sum 'Cs4 Ho2 Ga2 I12'
_cell_length_a 8.814
_cell_length_b 12.470
_cell_length_c 8.810
_cell_angle_alpha 90.00
_cell_angle_beta 90.00
_cell_angle_gamma 90.00
_symmetry_space_group_name_H-M 'P 1'
_symmetry_Int_Tables_number 1
loop_
_symmetry_equiv_pos_as_xyz
'x,y,z'
loop_
_atom_site_label
_atom_site_type_symbol
_atom_site_fract_x
_atom_site_fract_y
_atom_site_fract_z
_atom_site_occupancy
Cs1 Cs 0.250 0.001 0.250 1
Cs2 Cs 0.250 0.499 0.250 1
Cs3 Cs 0.750 0.501 0.750 1
Cs4 Cs 0.750 0.999 0.750 1
Ho1 Ho 0.250 0.750 0.749 1
Ho2 Ho 0.750 0.250 0.251 1
Ga1 Ga 0.250 0.250 0.751 1
Ga2 Ga 0.750 0.750 0.249 1
I1 I 0.008 0.750 0.507 1
I2 I 0.008 0.750 0.992 1
I3 I 0.250 0.508 0.749 1
I4 I 0.250 0.992 0.749 1
I5 I 0.492 0.750 0.507 1
I6 I 0.492 0.750 0.992 1
I7 I 0.508 0.250 0.008 1
I8 I 0.508 0.250 0.493 1
I9 I 0.750 0.008 0.251 1
I10 I 0.750 0.492 0.251 1
I11 I 0.992 0.250 0.008 1
I12 I 0.992 0.250 0.493 1
```



Entry 11:
Cs5GaI5: simulated PXRD pattern (Cu Kα), based on a PBE-relaxed structure.
No peak broadening, texture or thermal motion is included.

Principal peaks in the range 2θ from 5° to 70°, sorted by position:
d/Å  2θ (°)  I (rel.)
3.853  23.08  89
3.839  23.17  81
3.798  23.42  84
2.720  32.93  65
2.705  33.12  100
2.696  33.23  31
2.211  40.81  70
1.718  53.33  36
1.704  53.81  23
1.568  58.90  33

Crystal structure
```
data_Cs5GaI5
_chemical_formula_sum 'Cs5 Ga1 I5'
_cell_length_a 9.403
_cell_length_b 9.403
_cell_length_c 10.785
_cell_angle_alpha 107.22
_cell_angle_beta 107.22
_cell_angle_gamma 48.38
_symmetry_space_group_name_H-M 'P 1'
_symmetry_Int_Tables_number 1
loop_
_symmetry_equiv_pos_as_xyz
'x,y,z'
loop_
_atom_site_label
_atom_site_type_symbol
_atom_site_fract_x
_atom_site_fract_y
_atom_site_fract_z
_atom_site_occupancy
Cs1 Cs 0.000 0.000 0.000 1
Cs2 Cs 0.325 0.325 0.176 1
Cs3 Cs 0.338 0.338 0.667 1
Cs4 Cs 0.662 0.662 0.333 1
Cs5 Cs 0.675 0.675 0.824 1
Ga1 Ga 0.000 0.000 0.500 1
I1 I 0.151 0.151 0.349 1
I2 I 0.158 0.158 0.813 1
I3 I 0.500 0.500 0.500 1
I4 I 0.842 0.842 0.187 1
I5 I 0.849 0.849 0.651 1
```



- Number 10 is which compound?
  Cs2HoGaI6



- What is the formula in the first record?
  CsRbGaH6



Copy entry 8 word for word.
CsGa5Hg4Se12: simulated PXRD pattern (Cu Kα), based on a PBE-relaxed structure.
No peak broadening, texture or thermal motion is included.

Principal peaks in the range 2θ from 5° to 70°, sorted by position:
d/Å  2θ (°)  I (rel.)
7.888  11.22  21
3.366  26.48  54
3.343  26.66  52
3.325  26.81  100
2.056  44.05  50
2.048  44.23  24
2.041  44.38  47
2.029  44.65  24
1.749  52.32  17
1.745  52.45  21

Crystal structure
```
data_CsGa5Hg4Se12
_chemical_formula_sum 'Cs1 Ga5 Hg4 Se12'
_cell_length_a 9.129
_cell_length_b 9.149
_cell_length_c 9.193
_cell_angle_alpha 107.11
_cell_angle_beta 108.12
_cell_angle_gamma 107.52
_symmetry_space_group_name_H-M 'P 1'
_symmetry_Int_Tables_number 1
loop_
_symmetry_equiv_pos_as_xyz
'x,y,z'
loop_
_atom_site_label
_atom_site_type_symbol
_atom_site_fract_x
_atom_site_fract_y
_atom_site_fract_z
_atom_site_occupancy
Cs1 Cs 0.000 0.000 0.000 1
Ga1 Ga 0.028 0.193 0.560 1
Ga2 Ga 0.339 0.941 0.488 1
Ga3 Ga 0.493 0.341 0.949 1
Ga4 Ga 0.569 0.036 0.196 1
Ga5 Ga 0.950 0.499 0.353 1
Hg1 Hg 0.202 0.572 0.026 1
Hg2 Hg 0.414 0.648 0.727 1
Hg3 Hg 0.641 0.714 0.403 1
Hg4 Hg 0.719 0.398 0.641 1
Se1 Se 0.076 0.705 0.252 1
Se2 Se 0.151 0.379 0.443 1
Se3 Se 0.242 0.089 0.693 1
Se4 Se 0.315 0.821 0.942 1
Se5 Se 0.385 0.423 0.154 1
Se6 Se 0.435 0.142 0.370 1
Se7 Se 0.568 0.888 0.642 1
Se8 Se 0.650 0.561 0.890 1
Se9 Se 0.707 0.245 0.094 1
Se10 Se 0.793 0.946 0.298 1
Se11 Se 0.892 0.646 0.576 1
Se12 Se 0.936 0.278 0.776 1
```